# 1
For Sr2DyWN4, a crystal structure in Alexandria, relaxed with PBE gives the theoretical powder diffractogram in this record (copper Kα).
No peak broadening, texture or thermal motion is included.

Structural model:
```
data_Sr2DyWN4
_cell_length_a 7.6576
_cell_length_b 6.9803
_cell_length_c 5.6452
_cell_angle_alpha 90.00
_cell_angle_beta 90.00
_cell_angle_gamma 90.00
_symmetry_space_group_name_H-M 'P m n 21'
_symmetry_Int_Tables_number 31
_symmetry_space_group_name_Hall 'P 2ac -2'
loop_
_atom_site_label
_atom_site_type_symbol
_atom_site_fract_x
_atom_site_fract_y
_atom_site_fract_z
_atom_site_occupancy
Sr1 Sr 0.2462 0.1615 0.0000 1
Dy1 Dy 0.0000 0.6602 0.0131 1
W1 W 0.0000 0.3501 0.5330 1
N1 N 0.0000 0.3696 0.8639 1
N2 N 0.0000 0.6059 0.4116 1
N3 N 0.2112 0.2174 0.4600 1
```

Top 10 peaks for 2θ = 15–90°, sorted by position:
Position (°2θ)  I (rel.)  index
20.23  20  0 1 1
26.55  47  2 1 0
30.10  68  0 2 1
30.99  100  2 1 1
31.70  43  0 0 2
41.81  23  2 1 2
45.62  31  2 3 0
56.02  21  2 1 3
56.62  30  2 3 2
57.26  23  4 2 1


# 2
For DyYTaN3, a crystal structure in Alexandria, relaxed with PBE gives the theoretical powder diffractogram in this record (copper Kα).
No peak broadening, texture or thermal motion is included.

Structural model:
```
data_DyYTaN3
_cell_length_a 7.1481
_cell_length_b 3.4102
_cell_length_c 9.2162
_cell_angle_alpha 90.00
_cell_angle_beta 103.87
_cell_angle_gamma 90.00
_symmetry_space_group_name_H-M 'P 1 21/m 1'
_symmetry_Int_Tables_number 11
_symmetry_space_group_name_Hall '-P 2yb'
loop_
_atom_site_label
_atom_site_type_symbol
_atom_site_fract_x
_atom_site_fract_y
_atom_site_fract_z
_atom_site_occupancy
Dy1 Dy 0.1491 0.2500 0.1453 1
Y1 Y 0.3170 0.7500 0.8747 1
Ta1 Ta 0.4809 0.7500 0.3668 1
N1 N 0.0943 0.2500 0.8842 1
N2 N 0.3481 0.2500 0.4029 1
N3 N 0.4211 0.7500 0.1402 1
```

Top 10 peaks for 2θ = 15–90°, sorted by position:
Position (°2θ)  I (rel.)  index
28.53  28  2 0 -2
29.79  57  2 0 1
31.89  31  1 1 1
33.03  100  0 1 2
34.64  22  2 0 -3
36.62  67  2 1 -1
36.96  38  2 1 0
40.32  38  0 0 4
52.38  22  2 1 3
53.76  18  0 2 0


# 3
For Tb5DyN6, a crystal structure in Alexandria, relaxed with PBE gives the theoretical powder diffractogram in this record (copper Kα).
No peak broadening, texture or thermal motion is included.

Structural model:
```
data_Tb5DyN6
_cell_length_a 6.0505
_cell_length_b 10.4816
_cell_length_c 6.0509
_cell_angle_alpha 90.00
_cell_angle_beta 109.46
_cell_angle_gamma 90.00
_symmetry_space_group_name_H-M 'C 1 2/m 1'
_symmetry_Int_Tables_number 12
_symmetry_space_group_name_Hall '-C 2y'
loop_
_atom_site_label
_atom_site_type_symbol
_atom_site_fract_x
_atom_site_fract_y
_atom_site_fract_z
_atom_site_occupancy
Tb1 Tb 0.0000 0.0000 0.0000 1
Tb2 Tb 0.0000 0.1667 0.5000 1
Tb3 Tb 0.0000 0.3335 0.0000 1
Dy1 Dy 0.0000 0.5000 0.5000 1
N1 N 0.2493 0.3338 0.7495 1
N2 N 0.2492 0.5000 0.2505 1
```

Top 8 peaks for 2θ = 15–90°, sorted by position:
Position (°2θ)  I (rel.)  index
31.36  100  2 0 0
36.37  72  1 3 1
52.38  49  2 0 2
62.33  45  3 3 1
65.44  17  4 0 0
77.24  8  2 6 2
85.71  19  4 0 2
88.50  23  4 6 0


# 4
For TbDy2N3, a crystal structure in Alexandria, relaxed with PBE gives the theoretical powder diffractogram in this record (copper Kα).
No peak broadening, texture or thermal motion is included.

Structural model:
```
data_TbDy2N3
_cell_length_a 6.9640
_cell_length_b 4.9234
_cell_length_c 10.4482
_cell_angle_alpha 90.00
_cell_angle_beta 90.00
_cell_angle_gamma 90.00
_symmetry_space_group_name_H-M 'P n m a'
_symmetry_Int_Tables_number 62
_symmetry_space_group_name_Hall '-P 2ac 2n'
loop_
_atom_site_label
_atom_site_type_symbol
_atom_site_fract_x
_atom_site_fract_y
_atom_site_fract_z
_atom_site_occupancy
Tb1 Tb 0.1254 0.2500 0.0834 1
Dy1 Dy 0.1250 0.2500 0.4167 1
Dy2 Dy 0.1249 0.2500 0.7498 1
N1 N 0.1241 0.7500 0.4161 1
N2 N 0.1252 0.7500 0.7503 1
N3 N 0.1265 0.7500 0.0836 1
```

Top 8 peaks for 2θ = 15–90°, sorted by position:
Position (°2θ)  I (rel.)  index
31.47  100  2 1 0
36.49  71  2 0 3
52.57  49  4 0 0
62.56  45  4 1 3
65.68  17  4 2 0
77.54  8  4 0 6
86.06  19  6 1 0
88.87  23  6 0 3


# 5
For Tb2DyZr3N6, a crystal structure in Alexandria, relaxed with PBE gives the theoretical powder diffractogram in this record (copper Kα).
No peak broadening, texture or thermal motion is included.

Structural model:
```
data_Tb2DyZr3N6
_cell_length_a 5.8054
_cell_length_b 10.0390
_cell_length_c 5.8622
_cell_angle_alpha 90.00
_cell_angle_beta 109.31
_cell_angle_gamma 90.00
_symmetry_space_group_name_H-M 'C 1 2/m 1'
_symmetry_Int_Tables_number 12
_symmetry_space_group_name_Hall '-C 2y'
loop_
_atom_site_label
_atom_site_type_symbol
_atom_site_fract_x
_atom_site_fract_y
_atom_site_fract_z
_atom_site_occupancy
Tb1 Tb 0.0000 0.1666 0.0000 1
Dy1 Dy 0.0000 0.5000 0.0000 1
Zr1 Zr 0.0000 0.0000 0.5000 1
Zr2 Zr 0.0000 0.3336 0.5000 1
N1 N 0.2425 0.5000 0.7315 1
N2 N 0.2442 0.1661 0.7314 1
```

Top 10 peaks for 2θ = 15–90°, sorted by position:
Position (°2θ)  I (rel.)  index
16.02  13  0 0 1
32.36  33  0 0 2
32.71  97  2 0 0
37.85  100  1 3 1
54.37  34  2 0 2
54.82  33  0 6 0
64.71  14  1 3 3
65.12  28  3 3 1
65.32  14  2 6 0
68.55  16  4 0 0


# 6
For DyTm2TcN4, a crystal structure in Alexandria, relaxed with PBE gives the theoretical powder diffractogram in this record (copper Kα).
No peak broadening, texture or thermal motion is included.

Structural model:
```
data_DyTm2TcN4
_cell_length_a 3.3769
_cell_length_b 11.4596
_cell_length_c 11.4345
_cell_angle_alpha 90.00
_cell_angle_beta 90.00
_cell_angle_gamma 90.00
_symmetry_space_group_name_H-M 'C m c m'
_symmetry_Int_Tables_number 63
_symmetry_space_group_name_Hall '-C 2c 2'
loop_
_atom_site_label
_atom_site_type_symbol
_atom_site_fract_x
_atom_site_fract_y
_atom_site_fract_z
_atom_site_occupancy
Dy1 Dy 0.0000 0.1330 0.2500 1
Tm1 Tm 0.0000 0.3685 0.0393 1
Tc1 Tc 0.0000 0.1315 0.7500 1
N1 N 0.0000 0.0000 0.0000 1
N2 N 0.0000 0.2629 0.6282 1
N3 N 0.0000 0.4542 0.2500 1
```

Top 10 peaks for 2θ = 15–90°, sorted by position:
Position (°2θ)  I (rel.)  index
28.12  40  0 2 3
31.25  100  0 4 0
31.75  95  1 1 2
38.93  96  1 3 2
44.79  30  0 4 4
48.73  25  1 1 5
50.72  21  1 5 2
54.33  18  2 0 0
64.02  26  2 4 0
65.42  23  1 7 2


# 7
For Dy3Te3N, a crystal structure in Alexandria, relaxed with PBE gives the theoretical powder diffractogram in this record (copper Kα).
No peak broadening, texture or thermal motion is included.

Structural model:
```
data_Dy3Te3N
_cell_length_a 13.6436
_cell_length_b 4.1358
_cell_length_c 13.8288
_cell_angle_alpha 90.00
_cell_angle_beta 90.00
_cell_angle_gamma 90.00
_symmetry_space_group_name_H-M 'P n m a'
_symmetry_Int_Tables_number 62
_symmetry_space_group_name_Hall '-P 2ac 2n'
loop_
_atom_site_label
_atom_site_type_symbol
_atom_site_fract_x
_atom_site_fract_y
_atom_site_fract_z
_atom_site_occupancy
Dy1 Dy 0.0396 0.2500 0.1603 1
Dy2 Dy 0.0513 0.2500 0.6360 1
Dy3 Dy 0.1840 0.2500 0.8492 1
Te1 Te 0.1068 0.2500 0.3982 1
Te2 Te 0.1240 0.7500 0.9971 1
Te3 Te 0.2196 0.7500 0.6787 1
N1 N 0.0317 0.2500 0.7931 1
```

Top 10 peaks for 2θ = 15–90°, sorted by position:
Position (°2θ)  I (rel.)  index
25.18  30  2 1 0
25.77  34  0 0 4
26.92  21  4 0 1
29.19  23  4 0 2
29.75  64  1 1 3
29.91  50  3 1 1
31.99  100  3 1 2
35.36  40  5 0 2
36.34  75  2 1 4
43.78  41  0 2 0


# 8
For Dy2TmThN4, a crystal structure in Alexandria, relaxed with PBE gives the theoretical powder diffractogram in this record (copper Kα).
No peak broadening, texture or thermal motion is included.

Structural model:
```
data_Dy2TmThN4
_cell_length_a 6.0719
_cell_length_b 3.5182
_cell_length_c 6.0736
_cell_angle_alpha 90.00
_cell_angle_beta 109.31
_cell_angle_gamma 90.00
_symmetry_space_group_name_H-M 'P 1 2/m 1'
_symmetry_Int_Tables_number 10
_symmetry_space_group_name_Hall '-P 2y'
loop_
_atom_site_label
_atom_site_type_symbol
_atom_site_fract_x
_atom_site_fract_y
_atom_site_fract_z
_atom_site_occupancy
Dy1 Dy 0.0000 0.0000 0.0000 1
Dy2 Dy 0.5000 0.5000 0.0000 1
Tm1 Tm 0.0000 0.5000 0.5000 1
Th1 Th 0.5000 0.0000 0.5000 1
N1 N 0.2454 0.5000 0.2493 1
N2 N 0.2466 0.0000 0.7467 1
```

Top 10 peaks for 2θ = 15–90°, sorted by position:
Position (°2θ)  I (rel.)  index
31.20  100  2 0 0
36.13  46  1 1 1
36.27  23  2 0 -2
52.02  16  2 0 2
52.13  32  3 1 -1
61.92  30  3 1 1
62.11  15  4 0 -2
65.07  16  4 0 0
85.18  10  4 0 2
87.88  11  4 2 0


# 9
For Dy2YThN4, a crystal structure in Alexandria, relaxed with PBE gives the theoretical powder diffractogram in this record (copper Kα).
No peak broadening, texture or thermal motion is included.

Structural model:
```
data_Dy2YThN4
_cell_length_a 6.1020
_cell_length_b 3.5355
_cell_length_c 6.1023
_cell_angle_alpha 90.00
_cell_angle_beta 109.33
_cell_angle_gamma 90.00
_symmetry_space_group_name_H-M 'P 1 2/m 1'
_symmetry_Int_Tables_number 10
_symmetry_space_group_name_Hall '-P 2y'
loop_
_atom_site_label
_atom_site_type_symbol
_atom_site_fract_x
_atom_site_fract_y
_atom_site_fract_z
_atom_site_occupancy
Dy1 Dy 0.0000 0.0000 0.0000 1
Dy2 Dy 0.5000 0.5000 0.0000 1
Y1 Y 0.0000 0.5000 0.5000 1
Th1 Th 0.5000 0.0000 0.5000 1
N1 N 0.2482 0.5000 0.2475 1
N2 N 0.2510 0.0000 0.7504 1
```

Top 10 peaks for 2θ = 15–90°, sorted by position:
Position (°2θ)  I (rel.)  index
31.04  100  2 0 0
35.96  48  1 1 1
36.09  24  2 0 -2
51.71  8  0 2 0
51.85  42  2 0 2
61.59  30  3 1 1
61.77  15  4 0 -2
64.72  17  4 0 0
84.71  16  4 0 2
87.36  11  4 2 0


# 10
For Dy5Tl2N2, a crystal structure in Alexandria, relaxed with PBE gives the theoretical powder diffractogram in this record (copper Kα).
No peak broadening, texture or thermal motion is included.

Structural model:
```
data_Dy5Tl2N2
_cell_length_a 4.7384
_cell_length_b 4.7384
_cell_length_c 9.5534
_cell_angle_alpha 90.00
_cell_angle_beta 90.00
_cell_angle_gamma 90.00
_symmetry_space_group_name_H-M 'P 4/m m m'
_symmetry_Int_Tables_number 123
_symmetry_space_group_name_Hall '-P 4 2'
loop_
_atom_site_label
_atom_site_type_symbol
_atom_site_fract_x
_atom_site_fract_y
_atom_site_fract_z
_atom_site_occupancy
Dy1 Dy 0.0000 0.0000 0.0000 1
Dy2 Dy 0.0000 0.5000 0.2756 1
Tl1 Tl 0.5000 0.5000 0.0000 1
Tl2 Tl 0.5000 0.5000 0.5000 1
N1 N 0.0000 0.0000 0.2405 1
```

Top 10 peaks for 2θ = 15–90°, sorted by position:
Position (°2θ)  I (rel.)  index
26.50  9  1 0 2
28.23  8  1 1 1
32.65  100  1 1 2
37.66  16  0 0 4
37.98  39  2 0 0
54.56  22  2 0 4
54.80  13  2 2 0
64.83  9  1 1 6
65.26  28  3 1 2
68.40  11  2 2 4


# 11
For Dy3TmN4, a crystal structure in Alexandria, relaxed with PBE gives the theoretical powder diffractogram in this record (copper Kα).
No peak broadening, texture or thermal motion is included.

Structural model:
```
data_Dy3TmN4
_cell_length_a 5.9850
_cell_length_b 6.9143
_cell_length_c 5.9849
_cell_angle_alpha 90.00
_cell_angle_beta 109.46
_cell_angle_gamma 90.00
_symmetry_space_group_name_H-M 'P 1 2/c 1'
_symmetry_Int_Tables_number 13
_symmetry_space_group_name_Hall '-P 2yc'
loop_
_atom_site_label
_atom_site_type_symbol
_atom_site_fract_x
_atom_site_fract_y
_atom_site_fract_z
_atom_site_occupancy
Dy1 Dy 0.0000 0.1243 0.2500 1
Dy2 Dy 0.0000 0.3744 0.7500 1
Dy3 Dy 0.5000 0.3744 0.2500 1
Tm1 Tm 0.5000 0.1241 0.7500 1
N1 N 0.2509 0.3735 0.5018 1
N2 N 0.2534 0.1229 0.9996 1
```

Top 8 peaks for 2θ = 15–90°, sorted by position:
Position (°2θ)  I (rel.)  index
31.71  100  2 0 0
36.78  71  1 2 1
52.99  49  2 0 2
63.08  45  3 2 1
66.24  16  4 0 0
78.24  8  2 4 2
86.87  19  4 0 2
89.72  23  4 4 0


# 12
For DyYTm2N4, a crystal structure in Alexandria, relaxed with PBE gives the theoretical powder diffractogram in this record (copper Kα).
No peak broadening, texture or thermal motion is included.

Structural model:
```
data_DyYTm2N4
_cell_length_a 5.9563
_cell_length_b 3.4399
_cell_length_c 5.9573
_cell_angle_alpha 90.00
_cell_angle_beta 109.45
_cell_angle_gamma 90.00
_symmetry_space_group_name_H-M 'P 1 2/m 1'
_symmetry_Int_Tables_number 10
_symmetry_space_group_name_Hall '-P 2y'
loop_
_atom_site_label
_atom_site_type_symbol
_atom_site_fract_x
_atom_site_fract_y
_atom_site_fract_z
_atom_site_occupancy
Dy1 Dy 0.0000 0.0000 0.0000 1
Y1 Y 0.5000 0.5000 0.0000 1
Tm1 Tm 0.0000 0.5000 0.5000 1
Tm2 Tm 0.5000 0.0000 0.5000 1
N1 N 0.2480 0.0000 0.7452 1
N2 N 0.2512 0.5000 0.2545 1
```

Top 10 peaks for 2θ = 15–90°, sorted by position:
Position (°2θ)  I (rel.)  index
15.78  6  0 0 1
30.48  4  1 1 0
31.87  100  2 0 0
36.96  73  1 1 1
40.41  2  2 0 1
53.27  50  2 0 2
63.42  44  3 1 1
66.60  17  4 0 0
78.68  8  2 2 2
87.39  19  4 0 2